Record 1
The following is a theoretical X-ray powder pattern of LaCd12. It was derived from DFT lattice parameters and positions (GGA-PBE), using Cu Kα X-rays.
Neutral-atom scattering factors, no anomalous dispersion.

Main lines, in order of falling intensity (10 to 90 degrees two-theta):
two_theta  intensity
35.6  100.0
34.8  80.7
39.3  70.0
35.9  60.7
30.6  45.4
40.3  36.0

Cell and atoms:
Cell: 10.010 10.010 6.026 Å, 90.00 90.00 90.00°
Space group I4/mmm (No. 139)
One atom of each set of equivalent atoms:
La  0.000  0.000  0.000 x2
Cd  0.000  0.214  0.500 x8
Cd  0.000  0.352  0.000 x8
Cd  0.250  0.250  0.250 x8



Record 2
The following is a theoretical X-ray powder pattern of La5Cd6. It was derived from DFT lattice parameters and positions (GGA-PBE), using Cu Kα X-rays.
Neutral-atom scattering factors, no anomalous dispersion.

Main lines, in order of falling intensity (10 to 90 degrees two-theta):
two_theta  intensity
33.1  100.0
32.4  26.1
58.3  15.6
47.0  13.6
59.1  13.6
29.7  13.5

Cell and atoms:
Cell: 5.521 7.583 16.258 Å, 90.00 90.00 90.00°
Space group Immm (No. 71)
One atom of each set of equivalent atoms:
La  0.000  0.000  0.000 x2
La  0.000  0.000  0.314 x4
La  0.000  0.500  0.338 x4
Cd  0.000  0.210  0.500 x4
Cd  0.000  0.289  0.148 x8



Record 3
The following is a theoretical X-ray powder pattern of LaCd. It was derived from DFT lattice parameters and positions (GGA-PBE), using Cu Kα X-rays.
Neutral-atom scattering factors, no anomalous dispersion.

Main lines, in order of falling intensity (10 to 90 degrees two-theta):
two_theta  intensity
32.1  100.0
57.3  37.3
46.1  18.1
76.5  15.7
67.3  11.4
85.4  4.0

Cell and atoms:
Cell: 3.938 3.938 3.938 Å, 90.00 90.00 90.00°
Space group Pm-3m (No. 221)
One atom of each set of equivalent atoms:
La  0.000  0.000  0.000 x1
Cd  0.500  0.500  0.500 x1



Record 4
The following is a theoretical X-ray powder pattern of La2Cd17. It was derived from DFT lattice parameters and positions (GGA-PBE), using Cu Kα X-rays.
Neutral-atom scattering factors, no anomalous dispersion.

Main lines, in order of falling intensity (10 to 90 degrees two-theta):
two_theta  intensity
35.5  100.0
39.8  66.6
35.3  60.9
33.7  52.9
35.9  34.8
30.5  33.4

Cell and atoms:
Cell: 10.1655 10.1655 10.0024 Å, 90.00 90.00 120.00°
Space group P6_3/mmc (No. 194)
One atom of each set of equivalent atoms:
La  0.0000  0.0000  0.2500 x2
La  0.3333  0.6667  0.2500 x2
Cd  0.0000  0.5000  0.0000 x6
Cd  0.0379  0.3656  0.7500 x12
Cd  0.1602  0.3203  0.0288 x12
Cd  0.3333  0.6667  0.5977 x4



Record 5
The following is a theoretical X-ray powder pattern of LaCd5. It was derived from DFT lattice parameters and positions (GGA-PBE), using Cu Kα X-rays.
Neutral-atom scattering factors, no anomalous dispersion.

Main lines, in order of falling intensity (10 to 90 degrees two-theta):
two_theta  intensity
35.1  100.0
36.7  37.4
56.4  32.7
29.8  29.4
61.9  27.7
88.6  20.8

Cell and atoms:
Cell: 8.475 8.475 8.475 Å, 90.00 90.00 90.00°
Space group F-43m (No. 216)
One atom of each set of equivalent atoms:
La  0.000  0.000  0.000 x4
Cd  0.125  0.125  0.625 x16
Cd  0.250  0.250  0.250 x4



Record 6
The following is a theoretical X-ray powder pattern of La2Cd17. It was derived from DFT lattice parameters and positions (GGA-PBE), using Cu Kα X-rays.
Neutral-atom scattering factors, no anomalous dispersion.

Main lines, in order of falling intensity (10 to 90 degrees two-theta):
two_theta  intensity
35.5  100.0
39.8  66.1
35.4  59.6
35.9  34.9
30.5  33.2
36.2  30.0

Cell and atoms:
Cell: 10.1554 10.1554 15.0220 Å, 90.00 90.00 120.00°
Space group R-3m (No. 166, hexagonal axes)
One atom of each set of equivalent atoms:
La  0.0000  0.0000  0.1672 x6
Cd  0.0000  0.0000  0.3990 x6
Cd  0.0000  0.2986  0.5000 x18
Cd  0.0000  0.5000  0.0000 x9
Cd  0.0131  0.5066  0.6483 x18



Record 7
The following is a theoretical X-ray powder pattern of La5Cd. It was derived from DFT lattice parameters and positions (GGA-PBE), using Cu Kα X-rays.
Neutral-atom scattering factors, no anomalous dispersion.

Main lines, in order of falling intensity (10 to 90 degrees two-theta):
two_theta  intensity
30.9  100.0
30.1  75.7
31.4  71.3
32.5  67.5
31.9  61.4
27.1  52.8

Cell and atoms:
Cell: 11.881 3.647 9.652 Å, 90.00 93.29 90.00°
Space group Cm (No. 8)
One atom of each set of equivalent atoms:
La  0.000  0.000  0.000 x2
La  0.006  0.000  0.376 x2
La  0.224  0.500  0.852 x2
La  0.271  0.000  0.193 x2
La  0.442  0.000  0.664 x2
Cd  0.232  0.500  0.496 x2



Record 8
The following is a theoretical X-ray powder pattern of Li4LaCd8. It was derived from DFT lattice parameters and positions (GGA-PBE), using Cu Kα X-rays.
Neutral-atom scattering factors, no anomalous dispersion.

Main lines, in order of falling intensity (10 to 90 degrees two-theta):
two_theta  intensity
36.2  100.0
31.4  44.7
33.8  40.5
17.5  33.6
64.2  32.1
40.5  26.9

Cell and atoms:
Cell: 10.118 10.118 5.309 Å, 90.00 90.00 90.00°
Space group I4/mmm (No. 139)
One atom of each set of equivalent atoms:
Li  0.250  0.250  0.250 x8
La  0.000  0.000  0.000 x2
Cd  0.000  0.215  0.500 x8
Cd  0.000  0.351  0.000 x8



Record 9
The following is a theoretical X-ray powder pattern of LiLaCd5. It was derived from DFT lattice parameters and positions (GGA-PBE), using Cu Kα X-rays.
Neutral-atom scattering factors, no anomalous dispersion.

Main lines, in order of falling intensity (10 to 90 degrees two-theta):
two_theta  intensity
32.4  100.0
36.5  76.9
39.9  56.3
18.0  53.5
58.1  36.0
40.4  28.8

Cell and atoms:
Cell: 5.906 8.935 7.024 Å, 90.00 90.00 90.00°
Space group Cmmm (No. 65)
One atom of each set of equivalent atoms:
Li  0.000  0.000  0.000 x2
La  0.000  0.500  0.500 x2
Cd  0.000  0.500  0.000 x2
Cd  0.250  0.250  0.226 x8



Record 10
The following is a theoretical X-ray powder pattern of Li9LaCd2. It was derived from DFT lattice parameters and positions (GGA-PBE), using Cu Kα X-rays.
Neutral-atom scattering factors, no anomalous dispersion.

Main lines, in order of falling intensity (10 to 90 degrees two-theta):
two_theta  intensity
20.8  100.0
30.2  44.0
30.9  29.7
28.3  27.3
42.4  22.0
15.3  19.0

Cell and atoms:
Cell: 11.593 11.593 7.511 Å, 90.00 90.00 90.00°
Space group I4_1/amd (No. 141, origin choice 2)
One atom of each set of equivalent atoms:
Li  0.000  0.250  0.375 x4
Li  0.122  0.045  0.182 x32
La  0.000  0.250  0.875 x4
Cd  0.000  0.000  0.500 x8



Record 11
The following is a theoretical X-ray powder pattern of Li6LaCd6. It was derived from DFT lattice parameters and positions (GGA-PBE), using Cu Kα X-rays.
Neutral-atom scattering factors, no anomalous dispersion.

Main lines, in order of falling intensity (10 to 90 degrees two-theta):
two_theta  intensity
31.6  100.0
36.5  85.7
17.7  70.0
33.6  39.9
38.2  37.4
64.9  26.7

Cell and atoms:
Cell: 5.336 10.002 10.021 Å, 90.00 90.00 90.00°
Space group Immm (No. 71)
One atom of each set of equivalent atoms:
Li  0.000  0.228  0.000 x4
Li  0.250  0.250  0.250 x8
La  0.000  0.500  0.500 x2
Cd  0.000  0.000  0.200 x4
Cd  0.000  0.154  0.500 x4
Cd  0.000  0.500  0.150 x4



Record 12
The following is a theoretical X-ray powder pattern of Li2La2Cd15. It was derived from DFT lattice parameters and positions (GGA-PBE), using Cu Kα X-rays.
Neutral-atom scattering factors, no anomalous dispersion.

Main lines, in order of falling intensity (10 to 90 degrees two-theta):
two_theta  intensity
35.6  100.0
40.0  53.0
36.0  38.9
35.5  38.4
17.5  31.0
51.5  17.3

Cell and atoms:
Cell: 10.1151 10.1151 14.9692 Å, 90.00 90.00 120.00°
Space group R-3m (No. 166, hexagonal axes)
One atom of each set of equivalent atoms:
Li  0.0000  0.0000  0.0996 x6
La  0.0000  0.0000  0.3376 x6
Cd  0.0000  0.2946  0.0000 x18
Cd  0.0000  0.5000  0.5000 x9
Cd  0.0080  0.5040  0.1479 x18